# GaSi23
Calculated powder X-ray diffraction pattern, copper Kα. Input: a crystal structure in Alexandria, relaxed with PBE.
Intensities are scaled so that the largest is 100.

Cell and atoms:
```
GaSi23
1.0
10.225 0.000 0.000
0.000 10.225 0.000
0.000 0.000 10.225
Ga Si
2 46
direct
0.000 0.000 0.000
0.500 0.500 0.500
0.000 0.117 0.308
0.000 0.117 0.692
0.000 0.250 0.500
0.000 0.750 0.500
0.000 0.883 0.308
0.000 0.883 0.692
0.117 0.308 0.000
0.117 0.692 0.000
0.183 0.183 0.183
0.183 0.183 0.817
0.183 0.817 0.183
0.183 0.817 0.817
0.192 0.383 0.500
0.192 0.617 0.500
0.250 0.500 0.000
0.308 0.000 0.117
0.308 0.000 0.883
0.317 0.317 0.317
0.317 0.317 0.683
0.317 0.683 0.317
0.317 0.683 0.683
0.383 0.500 0.192
0.383 0.500 0.808
0.500 0.000 0.250
0.500 0.000 0.750
0.500 0.192 0.383
0.500 0.192 0.617
0.500 0.808 0.383
0.500 0.808 0.617
0.617 0.500 0.192
0.617 0.500 0.808
0.683 0.317 0.317
0.683 0.317 0.683
0.683 0.683 0.317
0.683 0.683 0.683
0.692 0.000 0.117
0.692 0.000 0.883
0.750 0.500 0.000
0.808 0.383 0.500
0.808 0.617 0.500
0.817 0.183 0.183
0.817 0.183 0.817
0.817 0.817 0.183
0.817 0.817 0.817
0.883 0.308 0.000
0.883 0.692 0.000
```

The 10 most intense peaks (10° ≤ 2θ ≤ 90°), by angle:
12.24°, d = 7.230 Å, rel. 59, hkl 1 1 0; 19.41°, d = 4.573 Å, rel. 50, hkl 2 1 0; 32.77°, d = 2.733 Å, rel. 100, hkl 3 2 1; 36.22°, d = 2.480 Å, rel. 17, hkl 4 1 0; 37.31°, d = 2.410 Å, rel. 23, hkl 3 3 0; 40.43°, d = 2.231 Å, rel. 16, hkl 4 2 1; 52.16°, d = 1.754 Å, rel. 23, hkl 5 3 0; 52.98°, d = 1.728 Å, rel. 14, hkl 5 3 1; 53.79°, d = 1.704 Å, rel. 20, hkl 6 0 0; 55.39°, d = 1.659 Å, rel. 44, hkl 5 3 2